No. 1
Zn6Cu10Pt: simulated powder XRD pattern (CuKα), based on the GGA-PBE geometry in Alexandria.
Kinematic intensities with the Lorentz-polarization factor, no thermal factor.

```
data_Zn6Cu10Pt
_chemical_formula_sum 'Zn6 Cu10 Pt1'
_symmetry_space_group_name_H-M 'P -3 1 m'
_symmetry_Int_Tables_number 162
_symmetry_space_group_name_Hall '-P 3 2'
_cell_length_a 7.1607
_cell_length_b 7.1607
_cell_length_c 5.0788
_cell_angle_alpha 90.00
_cell_angle_beta 90.00
_cell_angle_gamma 120.00
loop_
_atom_site_label
_atom_site_type_symbol
_atom_site_fract_x
_atom_site_fract_y
_atom_site_fract_z
Zn1 Zn 0.0000 0.3486 0.3223
Cu1 Cu 0.0000 0.3108 0.8368
Cu2 Cu 0.3333 0.6667 0.0000
Cu3 Cu 0.3333 0.6667 0.5000
Pt1 Pt 0.0000 0.0000 0.5000
```

Largest 12 diffraction maxima, by intensity, 10 to 90 degrees two-theta:
h k l  2θ/deg  I (rel.)
1 1 2  43.75  100
4 1 2  80.43  20
4 -2 2  63.59  15
1 0 1  22.63  9
3 -1 1  42.48  8
2 -1 4  80.21  8
2 0 1  33.87  7
1 1 1  30.55  7
3 2 1  68.49  3
0 0 1  17.46  3
4 -1 3  79.43  2
1 0 0  14.28  2


No. 2
K2Zn2Te3: simulated powder XRD pattern (CuKα), based on the GGA-PBE geometry in Alexandria.
Kinematic intensities with the Lorentz-polarization factor, no thermal factor.

```
data_K2Zn2Te3
_chemical_formula_sum 'K16 Zn16 Te24'
_symmetry_space_group_name_H-M 'C 1 2/c 1'
_symmetry_Int_Tables_number 15
_cell_length_a 17.6091
_cell_length_b 15.7330
_cell_length_c 7.6005
_cell_angle_alpha 90.00
_cell_angle_beta 115.04
_cell_angle_gamma 90.00
loop_
_symmetry_equiv_pos_as_xyz
'x,y,z'
'-x,-y,-z'
'-x,y,-z+1/2'
'x,-y,z+1/2'
'x+1/2,y+1/2,z'
'-x+1/2,-y+1/2,-z'
'-x+1/2,y+1/2,-z+1/2'
'x+1/2,-y+1/2,z+1/2'
loop_
_atom_site_label
_atom_site_type_symbol
_atom_site_fract_x
_atom_site_fract_y
_atom_site_fract_z
K1 K 0.0000 0.0643 0.2500
K2 K 0.0000 0.2126 0.7500
K3 K 0.1080 0.4123 0.5841
Zn1 Zn 0.1925 0.2280 0.2642
Zn2 Zn 0.2260 0.0763 0.8023
Te1 Te 0.1151 0.3709 0.0825
Te2 Te 0.1477 0.2050 0.5614
Te3 Te 0.1696 0.0730 0.0853
```

Largest 12 diffraction maxima, by intensity, 10 to 90 degrees two-theta:
h k l  2θ/deg  I (rel.)
2 0 -2  23.39  100
4 0 -2  26.09  51
2 0 0  11.09  51
2 4 1  30.56  46
3 3 -3  39.50  32
5 1 0  28.54  30
5 7 -2  50.28  23
7 1 -2  37.43  22
6 2 1  42.86  21
2 2 -1  17.16  21
1 3 -1  20.58  21
4 0 0  22.29  19


No. 3
Mg8Pb3: simulated powder XRD pattern (CuKα), based on the GGA-PBE geometry in Alexandria.
Kinematic intensities with the Lorentz-polarization factor, no thermal factor.

```
data_Mg8Pb3
_chemical_formula_sum 'Mg16 Pb6'
_symmetry_space_group_name_H-M 'C 1 2/m 1'
_symmetry_Int_Tables_number 12
_cell_length_a 10.2640
_cell_length_b 4.5248
_cell_length_c 12.0353
_cell_angle_alpha 90.00
_cell_angle_beta 105.18
_cell_angle_gamma 90.00
loop_
_symmetry_equiv_pos_as_xyz
'x,y,z'
'-x,-y,-z'
'-x,y,-z'
'x,-y,z'
'x+1/2,y+1/2,z'
'-x+1/2,-y+1/2,-z'
'-x+1/2,y+1/2,-z'
'x+1/2,-y+1/2,z'
loop_
_atom_site_label
_atom_site_type_symbol
_atom_site_fract_x
_atom_site_fract_y
_atom_site_fract_z
Mg1 Mg 0.0459 0.0000 0.3206
Mg2 Mg 0.1352 0.0000 0.9533
Mg3 Mg 0.1795 0.5000 0.7696
Mg4 Mg 0.2251 0.0000 0.5898
Pb1 Pb 0.0000 0.5000 0.5000
Pb2 Pb 0.0966 0.5000 0.1432
```

Largest 12 diffraction maxima, by intensity, 10 to 90 degrees two-theta:
h k l  2θ/deg  I (rel.)
1 1 3  33.46  100
3 1 -2  33.89  98
1 1 0  21.59  96
2 0 -2  20.29  57
0 0 3  22.97  48
2 0 -5  38.24  35
6 0 -4  56.42  35
0 2 0  39.85  34
4 0 1  39.13  33
1 1 -2  25.13  33
3 1 1  36.11  32
2 0 0  17.91  30


No. 4
Na3HfMg: simulated powder XRD pattern (CuKα), based on the GGA-PBE geometry in Alexandria.
Kinematic intensities with the Lorentz-polarization factor, no thermal factor.

```
data_Na3HfMg
_chemical_formula_sum 'Na3 Hf1 Mg1'
_symmetry_space_group_name_H-M 'P m -3 m'
_symmetry_Int_Tables_number 221
_symmetry_space_group_name_Hall '-P 4 2 3'
_cell_length_a 5.5326
_cell_length_b 5.5326
_cell_length_c 5.5326
_cell_angle_alpha 90.00
_cell_angle_beta 90.00
_cell_angle_gamma 90.00
loop_
_atom_site_label
_atom_site_type_symbol
_atom_site_fract_x
_atom_site_fract_y
_atom_site_fract_z
Na1 Na 0.0000 0.0000 0.5000
Hf1 Hf 0.5000 0.5000 0.5000
Mg1 Mg 0.0000 0.0000 0.0000
```

Largest 12 diffraction maxima, by intensity, 10 to 90 degrees two-theta:
h k l  2θ/deg  I (rel.)
1 1 0  22.73  100
1 1 1  27.93  64
1 0 0  16.02  54
2 0 0  32.36  50
2 1 1  39.91  47
2 2 0  46.42  36
2 1 0  36.31  30
3 1 1  55.05  29
3 2 1  62.85  25
3 1 0  52.29  22
3 0 0  49.42  16
4 2 0  77.09  15